1.
For Sc5Bi4O, a crystal structure in Alexandria, relaxed with GGA-PBE gives the theoretical powder diffraction line list in this record (Cu Ka).
Lines closer than 0.1° are merged.

```
Sc5Bi4O
1.0
-4.509 4.509 3.012
4.509 -4.509 3.012
4.509 4.509 -3.012
Sc Bi O
5 4 1
direct
0.000 0.000 0.000 Sc
0.354 0.702 0.852 Sc
0.502 0.354 0.652 Sc
0.702 0.850 0.348 Sc
0.850 0.502 0.148 Sc
0.024 0.794 0.610 Bi
0.183 0.414 0.390 Bi
0.414 0.024 0.230 Bi
0.794 0.183 0.770 Bi
0.659 0.659 0.000 O
```

Principal peaks in the range 2θ from 10° to 90°, sorted by position:
13.89 deg, rel. 21
26.60 deg, rel. 100
29.66 deg, rel. 50
31.37 deg, rel. 83
33.31 deg, rel. 29
43.71 deg, rel. 64
44.95 deg, rel. 28
50.80 deg, rel. 21
52.99 deg, rel. 38
54.78 deg, rel. 30

=====

2.
For Sc3BiO, a crystal structure in Alexandria, relaxed with GGA-PBE gives the theoretical powder diffraction line list in this record (Cu Ka).
Lines closer than 0.1° are merged.

```
Sc3BiO
1.0
4.710 0.000 0.000
0.000 6.599 3.410
0.000 -6.599 3.410
Sc Bi O
6 2 2
direct
0.250 0.078 0.922 Sc
0.250 0.145 0.402 Sc
0.250 0.577 0.969 Sc
0.750 0.402 0.145 Sc
0.750 0.922 0.078 Sc
0.750 0.969 0.577 Sc
0.250 0.670 0.423 Bi
0.750 0.423 0.670 Bi
0.250 0.902 0.062 O
0.750 0.062 0.902 O
```

Principal peaks in the range 2θ from 10° to 90°, sorted by position:
14.62 deg, rel. 35
23.20 deg, rel. 37
23.93 deg, rel. 50
24.07 deg, rel. 32
27.03 deg, rel. 39
30.75 deg, rel. 33
35.22 deg, rel. 100
38.22 deg, rel. 28
41.39 deg, rel. 20
53.22 deg, rel. 21

=====

3.
For Sc6Bi2O, a crystal structure in Alexandria, relaxed with GGA-PBE gives the theoretical powder diffraction line list in this record (Cu Ka).
Lines closer than 0.1° are merged.

```
Sc6Bi2O
1.0
-3.231 3.231 4.503
3.231 -3.231 4.503
3.231 3.231 -4.503
Sc Bi O
6 2 1
direct
0.248 0.248 0.000 Sc
0.252 0.252 0.503 Sc
0.252 0.748 0.000 Sc
0.748 0.252 0.000 Sc
0.748 0.748 0.497 Sc
0.752 0.752 0.000 Sc
0.250 0.750 0.500 Bi
0.750 0.250 0.500 Bi
0.500 0.500 0.000 O
```

Principal peaks in the range 2θ from 10° to 90°, sorted by position:
19.42 deg, rel. 40
19.72 deg, rel. 19
27.60 deg, rel. 22
27.82 deg, rel. 44
34.15 deg, rel. 100
39.44 deg, rel. 37
40.05 deg, rel. 18
48.94 deg, rel. 20
57.46 deg, rel. 24
68.15 deg, rel. 26